For MnFeClO2, DFT lattice parameters and positions (GGA+U) gives the theoretical X-ray diffraction stick pattern in this record (Cu Ka).
No peak broadening, texture or thermal motion is included.

Cell and atoms:
```
data_MnFeClO2
_space_group_name_H-M_alt 'P 1'
_space_group_IT_number 1
_cell_length_a 6.230
_cell_length_b 3.960
_cell_length_c 7.162
_cell_angle_alpha 90.00
_cell_angle_beta 90.28
_cell_angle_gamma 90.00
loop_
_space_group_symop_operation_xyz
'x,y,z'
loop_
_atom_site_label
_atom_site_type_symbol
_atom_site_fract_x
_atom_site_fract_y
_atom_site_fract_z
Mn1 Mn 0.177 0.250 0.416
Mn2 Mn 0.823 0.750 0.584
Fe1 Fe 0.055 0.250 0.851
Fe2 Fe 0.945 0.750 0.149
Cl1 Cl 0.405 0.250 0.724
Cl2 Cl 0.595 0.750 0.276
O1 O 0.020 0.250 0.124
O2 O 0.096 0.750 0.384
O3 O 0.904 0.250 0.616
O4 O 0.980 0.750 0.876
```

Top 6 peaks for 15° ≤ 2θ ≤ 90°, sorted by position:
2theta, I/Imax, (hkl)
25.71, 48, 0 1 1
26.67, 100, 1 1 0
28.82, 47, 1 0 2
31.26, 47, 2 0 -1
38.20, 51, 2 0 -2
45.83, 50, 0 2 0